[1]
Theoretical powder XRD pattern of Y2Re2Cl for Cu Ka, from a PBE-relaxed structure.
Kinematic intensities with the Lorentz-polarization factor, no thermal factor.

Cell and atoms:
```
data_Y2Re2Cl
_symmetry_space_group_name_H-M 'F d d 2'
_symmetry_Int_Tables_number 43
_symmetry_space_group_name_Hall 'F 2 -2d'
_cell_length_a 7.8890
_cell_length_b 14.2881
_cell_length_c 7.6410
_cell_angle_alpha 90.00
_cell_angle_beta 90.00
_cell_angle_gamma 90.00
loop_
_atom_site_label
_atom_site_fract_x
_atom_site_fract_y
_atom_site_fract_z
Y1 0.0222 0.2875 0.0000
Re1 0.0039 0.0818 0.0250
Cl1 0.0000 0.0000 0.4914
```

Principal peaks in the range 15° ≤ 2θ ≤ 90°, by angle:
2θ/deg	I/Imax	hkl
17.3	78.8	1 1 1
32.6	100.0	2 0 2
35.4	64.1	1 5 1
47.6	20.3	0 0 4
48.5	24.6	3 5 1
49.3	23.3	1 5 3

=====

[2]
Theoretical powder XRD pattern of TmAl4InCo for Cu Ka, from a PBE-relaxed structure.
Kinematic intensities with the Lorentz-polarization factor, no thermal factor.

Cell and atoms:
```
data_TmAl4InCo
_symmetry_space_group_name_H-M 'P 4/m m m'
_symmetry_Int_Tables_number 123
_symmetry_space_group_name_Hall '-P 4 2'
_cell_length_a 4.2578
_cell_length_b 4.2578
_cell_length_c 6.9322
_cell_angle_alpha 90.00
_cell_angle_beta 90.00
_cell_angle_gamma 90.00
loop_
_atom_site_label
_atom_site_fract_x
_atom_site_fract_y
_atom_site_fract_z
Tm1 0.0000 0.0000 0.0000
Al1 0.0000 0.5000 0.3151
In1 0.5000 0.5000 0.0000
Co1 0.0000 0.0000 0.5000
```

Principal peaks in the range 15° ≤ 2θ ≤ 90°, by angle:
2θ/deg	I/Imax	hkl
25.7	32.9	0 0 2
29.7	35.0	1 1 0
32.4	69.2	1 1 1
39.7	100.0	1 1 2
42.5	48.0	2 0 0
75.8	28.8	3 1 2

=====

[3]
Theoretical powder XRD pattern of Gd2YZn3Ga2Au for Cu Ka, from a PBE-relaxed structure.
Kinematic intensities with the Lorentz-polarization factor, no thermal factor.

Cell and atoms:
```
data_Gd2YZn3Ga2Au
_symmetry_space_group_name_H-M 'A m m 2'
_symmetry_Int_Tables_number 38
_cell_length_a 4.2741
_cell_length_b 12.2805
_cell_length_c 7.1079
_cell_angle_alpha 90.00
_cell_angle_beta 90.00
_cell_angle_gamma 90.00
loop_
_symmetry_equiv_pos_as_xyz
'x,y,z'
'-x,-y,z'
'-x,y,z'
'x,-y,z'
'x,y+1/2,z+1/2'
'-x,-y+1/2,z+1/2'
'-x,y+1/2,z+1/2'
'x,-y+1/2,z+1/2'
loop_
_atom_site_label
_atom_site_fract_x
_atom_site_fract_y
_atom_site_fract_z
Gd1 0.0000 0.2084 0.0000
Y1 0.0000 0.0000 0.3742
Zn1 0.5000 0.0000 0.0382
Zn2 0.5000 0.1231 0.6673
Ga1 0.5000 0.1659 0.2915
Au1 0.0000 0.0000 0.7897
```

Principal peaks in the range 15° ≤ 2θ ≤ 90°, by angle:
2θ/deg	I/Imax	hkl
29.0	24.6	0 2 2
32.8	53.0	1 3 1
36.0	100.0	1 2 2
38.8	24.0	0 5 1
42.3	26.0	2 0 0
44.4	27.5	1 5 1